This entry pairs a crystal structure of InAg3OsSe4 with its theoretical X-ray diffraction stick pattern. Radiation: Cu Kα (λ = 1.5418 Å). Structure: a DFT-relaxed cell (PBE, OQMD).

Structural model:
```
data_InAg3OsSe4
_cell_length_a 6.3202
_cell_length_b 6.3202
_cell_length_c 6.3202
_cell_angle_alpha 90.00
_cell_angle_beta 90.00
_cell_angle_gamma 90.00
_space_group_name_H-M_alt 'P -4 3 m'
_space_group_IT_number 215
_space_group_name_Hall 'P -4 2 3'
loop_
_atom_site_label
_atom_site_type_symbol
_atom_site_fract_x
_atom_site_fract_y
_atom_site_fract_z
In1 In 0.0000 0.0000 0.0000
Ag1 Ag 0.0000 0.5000 0.5000
Os1 Os 0.5000 0.5000 0.5000
Se1 Se 0.2771 0.2771 0.2771
```

Main lines, sorted by position (10° ≤ 2θ ≤ 90°):
h k l  2θ/deg  I_rel
1 0 0  14.0  44
1 1 0  19.9  28
1 1 1  24.4  50
2 2 0  40.4  100
3 1 1  47.7  21
4 2 2  73.4  29

This entry pairs a crystal structure of Sr2Au2O5 with its theoretical X-ray diffraction stick pattern. Radiation: Cu Kα (λ = 1.5418 Å). Structure: a DFT-relaxed cell (PBE, OQMD).

Structural model:
```
data_Sr2Au2O5
_cell_length_a 4.1715
_cell_length_b 4.1715
_cell_length_c 7.1717
_cell_angle_alpha 90.00
_cell_angle_beta 90.00
_cell_angle_gamma 90.00
_space_group_name_H-M_alt 'P 4/m m m'
_space_group_IT_number 123
_space_group_name_Hall '-P 4 2'
loop_
_atom_site_label
_atom_site_type_symbol
_atom_site_fract_x
_atom_site_fract_y
_atom_site_fract_z
Sr1 Sr 0.0000 0.0000 0.0000
Sr2 Sr 0.0000 0.0000 0.5000
Au1 Au 0.5000 0.5000 0.1986
O1 O 0.0000 0.5000 0.2287
O2 O 0.5000 0.5000 0.5000
```

Main lines, sorted by position (10° ≤ 2θ ≤ 90°):
h k l  2θ/deg  I_rel
1 0 0  21.3  35
1 1 0  30.3  74
1 0 2  32.9  100
2 0 0  43.4  44
1 0 3  43.6  24
2 1 2  55.5  46

This entry pairs a crystal structure of Ho14C with its theoretical X-ray diffraction stick pattern. Radiation: Cu Kα (λ = 1.5418 Å). Structure: a DFT-relaxed cell (PBE, OQMD).

Structural model:
```
data_Ho14C
_cell_length_a 9.6398
_cell_length_b 9.6398
_cell_length_c 17.7222
_cell_angle_alpha 90.00
_cell_angle_beta 90.00
_cell_angle_gamma 120.00
_space_group_name_H-M_alt 'R -3 m'
_space_group_IT_number 166
_space_group_name_Hall '-R 3 2"'
loop_
_atom_site_label
_atom_site_type_symbol
_atom_site_fract_x
_atom_site_fract_y
_atom_site_fract_z
Ho1 Ho 0.0000 0.0000 0.1291
Ho2 Ho 0.0000 0.3213 0.5000
Ho3 Ho 0.0694 0.5347 0.3411
C1 C 0.0000 0.0000 0.0000
```

Main lines, sorted by position (10° ≤ 2θ ≤ 90°):
h k l  2θ/deg  I_rel
2 1 1  28.7  37
0 2 4  29.4  24
0 0 6  30.3  33
3 0 3  35.7  100
3 3 0  57.3  27
3 3 6  66.2  18